Entry 1:
The following is a computed XRD peak list of Ga5Ni. It was derived from the PBE geometry in Alexandria, using CuKα.
Peak positions follow from Bragg's law for the DFT cell and can differ from measured ones.

Principal peaks in the range 2θ = 10–80°, by angle:
2θ 34.43, I = 58, (0 6 0)
2θ 34.68, I = 36, (1 2 -1)
2θ 34.83, I = 100, (0 5 1)
2θ 39.73, I = 67, (0 0 2)
2θ 43.48, I = 37, (0 3 2)
2θ 43.95, I = 40, (1 5 -1)
2θ 44.64, I = 33, (1 2 1)
2θ 45.22, I = 56, (1 2 -2)

Structural model:
a b c (Å): 2.8868 15.6432 4.7447
angles (deg): 90.00 106.98 90.00
Space group P2_1/m (No. 11)
Asymmetric unit:
Ga1 0.1135 0.1276 0.2138
Ga2 0.1480 0.5504 0.2967
Ga3 0.3842 0.2500 0.7684
Ni1 0.3366 0.7500 0.6803

---

Entry 2:
The following is a computed XRD peak list of Li2Pm2Zn15. It was derived from the PBE geometry in Alexandria, using CuKα.
Peak positions follow from Bragg's law for the DFT cell and can differ from measured ones.

Principal peaks in the range 2θ = 10–80°, by angle:
2θ 28.30, I = 31, (1 1 3)
2θ 34.18, I = 21, (3 0 0)
2θ 39.67, I = 41, (2 2 0)
2θ 40.06, I = 100, (0 3 3)
2θ 41.24, I = 44, (0 0 6)
2θ 44.94, I = 26, (2 2 3)
2θ 58.54, I = 20, (2 2 6)
2θ 65.17, I = 16, (3 3 3)

Structural model:
a b c (Å): 9.0882 9.0882 13.1410
angles (deg): 90.00 90.00 120.00
Space group R-3m (No. 166, hexagonal axes)
Asymmetric unit:
Li1 0.0000 0.0000 0.0977
Pm1 0.0000 0.0000 0.3393
Zn1 0.0000 0.2943 0.0000
Zn2 0.0000 0.5000 0.5000
Zn3 0.0064 0.5032 0.1529

---

Entry 3:
The following is a computed XRD peak list of AgPt4. It was derived from the PBE geometry in Alexandria, using CuKα.
Peak positions follow from Bragg's law for the DFT cell and can differ from measured ones.

Principal peaks in the range 2θ = 10–80°, by angle:
2θ 15.06, I = 3, (0 0 6)
2θ 38.24, I = 36, (0 0 15)
2θ 39.37, I = 100, (0 1 5)
2θ 45.45, I = 67, (1 0 10)
2θ 65.45, I = 22, (0 1 20)
2θ 66.99, I = 21, (1 1 0)
2θ 78.41, I = 13, (1 0 25)
2θ 79.85, I = 26, (1 1 15)

Structural model:
a b c (Å): 2.7937 2.7937 35.3050
angles (deg): 90.00 90.00 120.00
Space group R-3m (No. 166, hexagonal axes)
Asymmetric unit:
Ag1 0.0000 0.0000 0.0000
Pt1 0.0000 0.0000 0.1995
Pt2 0.0000 0.0000 0.4012

---

Entry 4:
The following is a computed XRD peak list of TbHfGa6. It was derived from the PBE geometry in Alexandria, using CuKα.
Peak positions follow from Bragg's law for the DFT cell and can differ from measured ones.

Principal peaks in the range 2θ = 10–80°, by angle:
2θ 21.10, I = 12, (1 0 0)
2θ 37.10, I = 100, (1 1 2)
2θ 42.97, I = 33, (2 0 0)
2θ 43.37, I = 16, (0 0 4)
2θ 62.39, I = 11, (2 2 0)
2θ 62.70, I = 21, (2 0 4)
2θ 74.87, I = 25, (3 1 2)
2θ 75.43, I = 12, (1 1 6)

Structural model:
a b c (Å): 4.2097 4.2097 8.3457
angles (deg): 90.00 90.00 90.00
Space group P4/mmm (No. 123)
Asymmetric unit:
Tb1 0.0000 0.0000 0.0000
Hf1 0.0000 0.0000 0.5000
Ga1 0.0000 0.5000 0.2593
Ga2 0.5000 0.5000 0.0000
Ga3 0.5000 0.5000 0.5000

---

Entry 5:
The following is a computed XRD peak list of MgZn2Cu. It was derived from the PBE geometry in Alexandria, using CuKα.
Peak positions follow from Bragg's law for the DFT cell and can differ from measured ones.

Principal peaks in the range 2θ = 10–80°, by angle:
2θ 21.98, I = 81, (2 0 1)
2θ 35.12, I = 65, (4 2 0)
2θ 40.73, I = 77, (2 1 2)
2θ 42.34, I = 80, (6 0 1)
2θ 43.18, I = 98, (2 3 1)
2θ 44.94, I = 91, (4 3 0)
2θ 46.23, I = 100, (2 2 2)
2θ 48.50, I = 51, (7 0 1)

Structural model:
a b c (Å): 14.2175 7.3499 4.9162
angles (deg): 90.00 90.00 90.00
Space group Pnma (No. 62)
Asymmetric unit:
Mg1 0.1090 0.2500 0.2450
Mg2 0.1380 0.7500 0.4565
Zn1 0.0365 0.0574 0.7376
Zn2 0.2140 0.5570 0.9425
Cu1 0.0665 0.7500 0.9580
Cu2 0.1862 0.2500 0.7420

---

Entry 6:
The following is a computed XRD peak list of La3AgN3. It was derived from the PBE geometry in Alexandria, using CuKα.
Peak positions follow from Bragg's law for the DFT cell and can differ from measured ones.

Principal peaks in the range 2θ = 10–80°, by angle:
2θ 30.60, I = 100, (1 0 2)
2θ 33.61, I = 57, (1 1 0)
2θ 38.99, I = 15, (0 0 4)
2θ 48.27, I = 20, (2 0 0)
2θ 52.40, I = 25, (1 1 4)
2θ 58.24, I = 33, (2 1 2)
2θ 63.71, I = 14, (2 0 4)
2θ 65.46, I = 8, (1 0 6)

Structural model:
a b c (Å): 3.7709 3.7709 9.2405
angles (deg): 90.00 90.00 90.00
Space group P4/mmm (No. 123)
Asymmetric unit:
La1 0.0000 0.0000 0.0000
La2 0.5000 0.5000 0.2746
Ag1 0.0000 0.0000 0.5000
N1 0.0000 0.0000 0.2679
N2 0.5000 0.5000 0.0000

---

Entry 7:
The following is a computed XRD peak list of ZnNi5H8. It was derived from the PBE geometry in Alexandria, using CuKα.
Peak positions follow from Bragg's law for the DFT cell and can differ from measured ones.

Principal peaks in the range 2θ = 10–80°, by angle:
2θ 40.46, I = 51, (2 0 2)
2θ 40.58, I = 100, (3 1 -1)
2θ 42.01, I = 68, (4 0 -3)
2θ 43.80, I = 34, (6 0 -1)
2θ 44.08, I = 32, (1 1 -2)
2θ 49.30, I = 24, (1 1 2)
2θ 61.69, I = 24, (5 1 1)
2θ 73.37, I = 25, (7 1 -4)

Structural model:
a b c (Å): 12.5752 2.6405 6.6970
angles (deg): 90.00 117.50 90.00
Space group Cm (No. 8)
Asymmetric unit:
Zn1 0.0000 0.0000 0.0000
Ni1 0.0448 0.5000 0.4603
Ni2 0.1961 0.0000 0.3554
Ni3 0.2992 0.0000 0.7926
Ni4 0.3066 0.5000 0.1413
Ni5 0.4096 0.5000 0.5923
H1 0.0027 0.5000 0.6699
H2 0.1035 0.5000 0.2673
H3 0.1433 0.0000 0.5595
H4 0.2195 0.0000 0.1364
H5 0.2354 0.5000 0.8617
H6 0.2811 0.5000 0.5880
H7 0.3692 0.0000 0.0808
H8 0.4446 0.5000 0.3792

---

Entry 8:
The following is a computed XRD peak list of Nb2CrOsS. It was derived from the PBE geometry in Alexandria, using CuKα.
Peak positions follow from Bragg's law for the DFT cell and can differ from measured ones.

Principal peaks in the range 2θ = 10–80°, by angle:
2θ 19.20, I = 68, (1 0 0)
2θ 34.01, I = 100, (1 1 1)
2θ 38.98, I = 58, (2 0 0)
2θ 40.46, I = 26, (0 0 2)
2θ 56.30, I = 19, (2 2 0)
2θ 57.43, I = 36, (2 0 2)
2θ 67.43, I = 27, (3 1 1)
2θ 71.59, I = 19, (2 2 2)

Structural model:
a b c (Å): 4.6217 4.6217 4.4594
angles (deg): 90.00 90.00 90.00
Space group P4/mmm (No. 123)
Asymmetric unit:
Nb1 0.0000 0.5000 0.0000
Cr1 0.0000 0.0000 0.0000
Os1 0.0000 0.0000 0.5000
S1 0.5000 0.5000 0.5000

---

Entry 9:
The following is a computed XRD peak list of NaFe4P12. It was derived from the PBE geometry in Alexandria, using CuKα.
Peak positions follow from Bragg's law for the DFT cell and can differ from measured ones.

Principal peaks in the range 2θ = 10–80°, by angle:
2θ 22.81, I = 48, (2 0 0)
2θ 32.48, I = 65, (2 2 0)
2θ 36.44, I = 100, (3 1 0)
2θ 40.06, I = 20, (2 2 2)
2θ 43.43, I = 30, (3 2 1)
2θ 52.49, I = 76, (4 2 0)
2θ 57.95, I = 58, (4 2 2)
2θ 60.55, I = 35, (4 1 3)

Structural model:
a b c (Å): 7.7968 7.7968 7.7968
angles (deg): 90.00 90.00 90.00
Space group Im-3 (No. 204)
Asymmetric unit:
Na1 0.0000 0.0000 0.0000
Fe1 0.2500 0.2500 0.2500
P1 0.0000 0.1484 0.3533

---

Entry 10:
The following is a computed XRD peak list of Tl2PbF11. It was derived from the PBE geometry in Alexandria, using CuKα.
Peak positions follow from Bragg's law for the DFT cell and can differ from measured ones.

Principal peaks in the range 2θ = 10–80°, by angle:
2θ 13.88, I = 32, (1 1 0)
2θ 21.55, I = 100, (1 1 2)
2θ 22.14, I = 45, (1 2 1)
2θ 24.01, I = 98, (0 2 2)
2θ 24.85, I = 68, (2 1 1)
2θ 27.34, I = 41, (2 0 2)
2θ 43.92, I = 29, (2 2 4)
2θ 45.85, I = 48, (3 3 2)

Structural model:
a b c (Å): 8.1854 10.1888 10.8045
angles (deg): 90.00 90.00 90.00
Space group Ibam (No. 72)
Asymmetric unit:
Tl1 0.1685 0.1948 0.0000
Pb1 0.0000 0.5000 0.2500
F1 0.0000 0.0000 0.0000
F2 0.0996 0.3253 0.1537
F3 0.1053 0.1865 0.5000
F4 0.2062 0.4354 0.3672

---

Repeat the fifth record exactly.
The following is a computed XRD peak list of MgZn2Cu. It was derived from the PBE geometry in Alexandria, using CuKα.
Peak positions follow from Bragg's law for the DFT cell and can differ from measured ones.

Principal peaks in the range 2θ = 10–80°, by angle:
2θ 21.98, I = 81, (2 0 1)
2θ 35.12, I = 65, (4 2 0)
2θ 40.73, I = 77, (2 1 2)
2θ 42.34, I = 80, (6 0 1)
2θ 43.18, I = 98, (2 3 1)
2θ 44.94, I = 91, (4 3 0)
2θ 46.23, I = 100, (2 2 2)
2θ 48.50, I = 51, (7 0 1)

Structural model:
a b c (Å): 14.2175 7.3499 4.9162
angles (deg): 90.00 90.00 90.00
Space group Pnma (No. 62)
Asymmetric unit:
Mg1 0.1090 0.2500 0.2450
Mg2 0.1380 0.7500 0.4565
Zn1 0.0365 0.0574 0.7376
Zn2 0.2140 0.5570 0.9425
Cu1 0.0665 0.7500 0.9580
Cu2 0.1862 0.2500 0.7420

---

What did the seventh record say?
The following is a computed XRD peak list of ZnNi5H8. It was derived from the PBE geometry in Alexandria, using CuKα.
Peak positions follow from Bragg's law for the DFT cell and can differ from measured ones.

Principal peaks in the range 2θ = 10–80°, by angle:
2θ 40.46, I = 51, (2 0 2)
2θ 40.58, I = 100, (3 1 -1)
2θ 42.01, I = 68, (4 0 -3)
2θ 43.80, I = 34, (6 0 -1)
2θ 44.08, I = 32, (1 1 -2)
2θ 49.30, I = 24, (1 1 2)
2θ 61.69, I = 24, (5 1 1)
2θ 73.37, I = 25, (7 1 -4)

Structural model:
a b c (Å): 12.5752 2.6405 6.6970
angles (deg): 90.00 117.50 90.00
Space group Cm (No. 8)
Asymmetric unit:
Zn1 0.0000 0.0000 0.0000
Ni1 0.0448 0.5000 0.4603
Ni2 0.1961 0.0000 0.3554
Ni3 0.2992 0.0000 0.7926
Ni4 0.3066 0.5000 0.1413
Ni5 0.4096 0.5000 0.5923
H1 0.0027 0.5000 0.6699
H2 0.1035 0.5000 0.2673
H3 0.1433 0.0000 0.5595
H4 0.2195 0.0000 0.1364
H5 0.2354 0.5000 0.8617
H6 0.2811 0.5000 0.5880
H7 0.3692 0.0000 0.0808
H8 0.4446 0.5000 0.3792